For Tm2Zr3Co4, a DFT-relaxed cell (PBE, Alexandria) gives the simulated X-ray powder pattern in this record (Cu Kα (λ = 1.5418 Å)).
Kinematic intensities with the Lorentz-polarization factor, no thermal factor.

Peak list (10 most intense, 2θ = 10–90°, sorted by position)
2θ/deg  d (Å)  I_rel  hkl
29.08  3.070  30  0 1 2
33.66  2.663  47  1 2 1
33.93  2.642  57  2 1 -2
35.46  2.532  82  1 1 2
36.41  2.467  36  1 2 -2
36.95  2.433  100  2 2 -1
37.61  2.392  46  2 2 0
39.78  2.266  59  1 1 -3
40.95  2.204  39  3 0 0
41.24  2.189  59  0 3 1

Cell and atoms:
Cell lengths 6.9478, 6.9298, 7.1996 Å; angles 90.00, 107.89, 90.00 degrees
Fractional positions:
Tm 0.1966 0.1738 0.0886
Tm 0.1966 0.3262 0.5886
Tm 0.8034 0.6738 0.4114
Tm 0.8034 0.8262 0.9114
Zr 0.2422 0.6716 0.2502
Zr 0.2422 0.8284 0.7502
Zr 0.5000 0.0000 0.5000
Zr 0.5000 0.5000 0.0000
Zr 0.7578 0.1716 0.2498
Zr 0.7578 0.3284 0.7498
Co 0.0894 0.5390 0.8799
Co 0.0894 0.9610 0.3799
Co 0.4946 0.6251 0.6141
Co 0.4946 0.8749 0.1141
Co 0.5054 0.1251 0.8859
Co 0.5054 0.3749 0.3859
Co 0.9106 0.0390 0.6201
Co 0.9106 0.4610 0.1201